The following is a theoretical powder X-ray diffraction pattern of Er7Tm3Cd. It was derived from the GGA-PBE geometry in Alexandria, using λ = 1.5418 Å (Cu Kα).

Principal peaks in the range 15 to 90 degrees two-theta, in order of rising 2θ:
2theta  I (rel.)
18.26  62
25.94  44
31.91  1000
37.01  507
41.57  31
45.75  24
53.34  352
63.51  417
66.70  120
78.80  56
87.49  89
87.57  89

Unit cell a=6.8675 b=6.8675 c=8.4214 alpha=90.00 beta=90.00 gamma=120.00
Space group P3m1 (No. 156)
Inequivalent atoms, fractional coordinates:
1 Er 0.0000 0.0000 0.0000 [1 per cell]
2 Er 0.1634 0.3268 0.6671 [3 per cell]
3 Er 0.5007 0.0015 0.9933 [3 per cell]
4 Tm 0.3302 0.1651 0.3291 [3 per cell]
5 Cd 0.6667 0.3333 0.6659 [1 per cell]